For ThPaRhN4, a structure optimized by DFT (PBE) gives the theoretical PXRD pattern in this record (Cu Kα (weighted mean of Kα1 and Kα2)).
Neutral-atom scattering factors, no anomalous dispersion.

Structural model:
```
data_ThPaRhN4
_chemical_formula_sum 'Th2 Pa2 Rh2 N8'
_symmetry_space_group_name_H-M 'I 4 m m'
_symmetry_Int_Tables_number 107
_symmetry_space_group_name_Hall 'I 4 -2'
_cell_length_a 3.940
_cell_length_b 3.940
_cell_length_c 12.055
_cell_angle_alpha 90.00
_cell_angle_beta 90.00
_cell_angle_gamma 90.00
loop_
_atom_site_label
_atom_site_type_symbol
_atom_site_fract_x
_atom_site_fract_y
_atom_site_fract_z
_atom_site_occupancy
Th1 Th 0.000 0.000 0.000 1
Pa1 Pa 0.000 0.000 0.723 1
Rh1 Rh 0.000 0.000 0.364 1
N1 N 0.000 0.000 0.183 1
N2 N 0.000 0.000 0.542 1
N3 N 0.000 0.500 0.342 1
```

Principal peaks in the range 2θ from 5° to 70°, sorted by position:
h k l	Position (°2θ)	Rel. int.
1 0 1	23.8	26.7
0 0 4	29.6	12.1
1 0 3	31.8	100.0
1 1 0	32.1	69.0
1 0 5	44.0	15.1
1 1 4	44.3	22.6
2 0 0	46.1	30.5
2 1 3	57.1	40.1

For Pm2Sm4Y2Mg, a structure optimized by DFT (PBE) gives the theoretical PXRD pattern in this record (Cu Kα (weighted mean of Kα1 and Kα2)).
Neutral-atom scattering factors, no anomalous dispersion.

Structural model:
```
data_Pm2Sm4Y2Mg
_chemical_formula_sum 'Pm2 Sm4 Y2 Mg1'
_symmetry_space_group_name_H-M 'P -1'
_symmetry_Int_Tables_number 2
_symmetry_space_group_name_Hall '-P 1'
_cell_length_a 6.247
_cell_length_b 6.265
_cell_length_c 8.915
_cell_angle_alpha 96.74
_cell_angle_beta 96.57
_cell_angle_gamma 119.80
loop_
_atom_site_label
_atom_site_type_symbol
_atom_site_fract_x
_atom_site_fract_y
_atom_site_fract_z
_atom_site_occupancy
Pm1 Pm 0.061 0.387 0.170 1
Sm1 Sm 0.286 0.284 0.833 1
Sm2 Sm 0.389 0.063 0.171 1
Y1 Y 0.167 0.832 0.500 1
Mg1 Mg 0.500 0.500 0.500 1
```

Principal peaks in the range 2θ from 5° to 70°, sorted by position:
h k l	Position (°2θ)	Rel. int.
0 0 1	10.2	27.1
1 -2 1	29.3	39.9
0 0 3	30.9	52.8
1 1 -2	31.7	100.0
1 1 1	33.3	28.3
1 -2 2	33.4	27.2
-2 1 2	33.5	26.4
2 -1 2	37.6	29.7

For Ac2InO2, a structure optimized by DFT (PBE) gives the theoretical PXRD pattern in this record (Cu Kα (weighted mean of Kα1 and Kα2)).
Neutral-atom scattering factors, no anomalous dispersion.

Structural model:
```
data_Ac2InO2
_chemical_formula_sum 'Ac2 In1 O2'
_symmetry_space_group_name_H-M 'P 4/m m m'
_symmetry_Int_Tables_number 123
_symmetry_space_group_name_Hall '-P 4 2'
_cell_length_a 3.979
_cell_length_b 3.979
_cell_length_c 8.219
_cell_angle_alpha 90.00
_cell_angle_beta 90.00
_cell_angle_gamma 90.00
loop_
_atom_site_label
_atom_site_type_symbol
_atom_site_fract_x
_atom_site_fract_y
_atom_site_fract_z
_atom_site_occupancy
Ac1 Ac 0.000 0.000 0.187 1
In1 In 0.500 0.500 0.500 1
O1 O 0.000 0.500 0.000 1
```

Principal peaks in the range 2θ from 5° to 70°, sorted by position:
h k l	Position (°2θ)	Rel. int.
1 0 0	22.3	64.5
1 0 1	24.9	79.6
1 0 2	31.3	100.0
1 1 0	31.8	71.4
0 0 3	32.7	29.2
2 0 0	45.6	33.8
1 1 3	46.3	57.6
2 1 2	56.3	38.5